Starting from DFT lattice parameters and positions (PBE), the powder diffractogram of Nd2Re2O7 was computed for Cu Kα.
Kinematic intensities with the Lorentz-polarization factor, no thermal factor.

Principal peaks in the range 15 to 90 degrees two-theta, in order of rising 2θ:
2theta, I/Imax, hkl
29.35, 100, 2 2 0
29.90, 94, 2 0 2
33.37, 52, 0 2 2
36.22, 23, 4 0 0
48.65, 16, 0 0 4
50.07, 53, 4 2 2
56.86, 27, 2 4 2
57.84, 29, 2 2 4
60.97, 13, 6 2 0
81.58, 20, 6 2 4

Structure:
Cell: 9.9210 7.7063 7.4862 Å, 90.00 90.00 90.00°
Space group Ima2 (No. 46)
Inequivalent atoms, fractional coordinates:
1 Nd 0.0000 0.0000 0.0000
2 Nd 0.2500 0.2080 0.7254
3 Re 0.0000 0.0000 0.4823
4 Re 0.2500 0.7502 0.2368
5 O 0.1031 0.2351 0.4769
6 O 0.1161 0.5633 0.7750
7 O 0.1174 0.5554 0.1973
8 O 0.2500 0.6561 0.4857

***

Starting from DFT lattice parameters and positions (PBE), the powder diffractogram of Ga4Cu9 was computed for Cu Kα.
Kinematic intensities with the Lorentz-polarization factor, no thermal factor.

Principal peaks in the range 15 to 90 degrees two-theta, in order of rising 2θ:
2theta, I/Imax, hkl
35.53, 6, 2 2 2
38.49, 5, 3 2 1
43.89, 100, 3 3 0
48.81, 5, 3 3 2
53.38, 3, 5 1 0
63.81, 9, 6 0 0
73.37, 3, 6 3 1
75.22, 5, 4 4 4
77.05, 3, 5 5 0
80.67, 19, 6 3 3

Structure:
Cell: 8.7521 8.7521 8.7521 Å, 90.00 90.00 90.00°
Space group P-43m (No. 215)
Inequivalent atoms, fractional coordinates:
1 Ga 0.0343 0.3092 0.3092
2 Ga 0.3788 0.3788 0.6212
3 Cu 0.0000 0.0000 0.3566
4 Cu 0.1048 0.1048 0.1048
5 Cu 0.1437 0.5000 0.5000
6 Cu 0.1732 0.1732 0.8268
7 Cu 0.1846 0.1846 0.5318
8 Cu 0.3285 0.3285 0.3285

***

Starting from DFT lattice parameters and positions (PBE), the powder diffractogram of MgB4Ir3 was computed for Cu Kα.
Kinematic intensities with the Lorentz-polarization factor, no thermal factor.

Principal peaks in the range 15 to 90 degrees two-theta, in order of rising 2θ:
2theta, I/Imax, hkl
24.04, 73, 0 2 2
29.57, 73, 1 1 0
31.04, 99, 0 4 0
32.47, 64, 0 4 1
35.02, 39, 1 1 2
40.46, 100, 0 2 4
40.93, 83, 1 1 3
41.66, 59, 1 3 2
49.13, 67, 1 5 0
53.51, 79, 1 3 4

Structure:
Cell: 3.1310 11.5076 9.6738 Å, 90.00 90.00 90.00°
Space group Cmcm (No. 63)
Inequivalent atoms, fractional coordinates:
1 Mg 0.0000 0.0000 0.0000
2 B 0.0000 0.1300 0.2500
3 B 0.0000 0.1485 0.7500
4 B 0.0000 0.3410 0.1065
5 Ir 0.0000 0.3007 0.6097
6 Ir 0.0000 0.4834 0.2500

***

Starting from DFT lattice parameters and positions (PBE), the powder diffractogram of LaSi2GeOs was computed for Cu Kα.
Kinematic intensities with the Lorentz-polarization factor, no thermal factor.

Principal peaks in the range 15 to 90 degrees two-theta, in order of rising 2θ:
2theta, I/Imax, hkl
22.34, 44, 1 0 1
29.22, 82, 1 1 0
33.56, 100, 1 0 3
34.21, 33, 1 1 2
41.79, 56, 2 0 0
46.41, 24, 1 1 4
49.46, 21, 1 0 5
54.63, 50, 2 1 3
60.59, 19, 2 2 0
66.70, 17, 2 1 5

Structure:
Cell: 4.3227 4.3227 10.1852 Å, 90.00 90.00 90.00°
Space group I4mm (No. 107)
Inequivalent atoms, fractional coordinates:
1 La 0.0000 0.0000 0.0000
2 Si 0.0000 0.5000 0.2387
3 Ge 0.0000 0.0000 0.5766
4 Os 0.0000 0.0000 0.3371

***

Starting from DFT lattice parameters and positions (PBE), the powder diffractogram of K2LiTcF6 was computed for Cu Kα.
Kinematic intensities with the Lorentz-polarization factor, no thermal factor.

Principal peaks in the range 15 to 90 degrees two-theta, in order of rising 2θ:
2theta, I/Imax, hkl
19.30, 100, 1 0 1
31.68, 71, 1 1 2
31.99, 36, 2 0 0
37.09, 20, 1 0 3
37.64, 40, 2 1 1
44.93, 27, 0 0 4
45.88, 49, 2 2 0
49.77, 18, 2 1 3
56.82, 27, 1 3 2
66.16, 28, 2 2 4

Structure:
Cell: 5.5949 5.5949 8.0693 Å, 90.00 90.00 90.00°
Space group I4/m (No. 87)
Inequivalent atoms, fractional coordinates:
1 K 0.0000 0.5000 0.2500
2 Li 0.0000 0.0000 0.0000
3 Tc 0.0000 0.0000 0.5000
4 F 0.0000 0.0000 0.2469
5 F 0.2270 0.2664 0.0000

***

Starting from DFT lattice parameters and positions (PBE), the powder diffractogram of ErIn2Ni9 was computed for Cu Kα.
Kinematic intensities with the Lorentz-polarization factor, no thermal factor.

Principal peaks in the range 15 to 90 degrees two-theta, in order of rising 2θ:
2theta, I/Imax, hkl
34.54, 26, 3 1 0
36.15, 23, 2 2 1
37.44, 17, 0 0 2
39.45, 100, 3 1 1
43.66, 28, 2 0 2
44.00, 34, 3 2 1
45.10, 63, 2 1 2
45.54, 28, 4 1 0
68.89, 18, 3 1 3
70.39, 16, 5 1 2

Structure:
Cell: 8.2120 8.2120 4.8036 Å, 90.00 90.00 90.00°
Space group P4/mbm (No. 127)
Inequivalent atoms, fractional coordinates:
1 Er 0.0000 0.0000 0.0000
2 In 0.1249 0.3751 0.0000
3 Ni 0.0000 0.5000 0.5000
4 Ni 0.0630 0.2051 0.5000
5 Ni 0.1765 0.6765 0.2480

***

Starting from DFT lattice parameters and positions (PBE), the powder diffractogram of Sc2CuPb2Au was computed for Cu Kα.
Kinematic intensities with the Lorentz-polarization factor, no thermal factor.

Principal peaks in the range 15 to 90 degrees two-theta, in order of rising 2θ:
2theta, I/Imax, hkl
23.72, 85, 1 1 1
27.51, 9, 1 1 -3
39.21, 100, 3 1 -1
39.30, 20, 0 2 0
46.24, 15, 4 0 0
46.41, 30, 2 2 -2
56.78, 14, 2 2 -6
62.26, 12, 4 2 0
70.97, 13, 6 0 -2
71.16, 27, 3 3 -1

Structure:
Cell: 7.9679 4.5849 15.2292 Å, 90.00 99.79 90.00°
Space group Pm (No. 6)
Inequivalent atoms, fractional coordinates:
1 Sc 0.0000 0.0000 0.0000
2 Sc 0.0011 0.5000 0.4991
3 Sc 0.2501 0.5000 0.2483
4 Sc 0.2525 0.0000 0.7558
5 Sc 0.4975 0.5000 0.0003
6 Sc 0.4992 0.0000 0.4994
7 Sc 0.7469 0.0000 0.2478
8 Sc 0.7503 0.5000 0.7554
9 Cu 0.3120 0.5000 0.4359
10 Cu 0.3127 0.0000 0.9398
11 Cu 0.5595 0.5000 0.1862
12 Cu 0.8119 0.5000 0.9390
13 Pb 0.1274 0.5000 0.8846
14 Pb 0.1387 0.0000 0.3787
15 Pb 0.3727 0.5000 0.6180
16 Pb 0.3855 0.0000 0.1228
17 Pb 0.6099 0.5000 0.3689
18 Pb 0.6273 0.0000 0.8843
19 Pb 0.8595 0.5000 0.1207
20 Pb 0.8745 0.0000 0.6257
21 Au 0.0628 0.0000 0.1869
22 Au 0.0656 0.5000 0.6918
23 Au 0.5612 0.0000 0.6914
24 Au 0.8117 0.0000 0.4350

***

Starting from DFT lattice parameters and positions (PBE), the powder diffractogram of Cu2SnTe2F2 was computed for Cu Kα.
Kinematic intensities with the Lorentz-polarization factor, no thermal factor.

Principal peaks in the range 15 to 90 degrees two-theta, in order of rising 2θ:
2theta, I/Imax, hkl
25.26, 71, 1 0 1
30.27, 67, 1 0 2
33.30, 24, 1 1 0
37.26, 87, 1 0 3
38.59, 100, 1 1 2
47.80, 51, 2 0 0
54.61, 23, 1 0 5
57.63, 21, 2 1 2
62.12, 38, 2 1 3
82.81, 26, 3 1 2

Structure:
Cell: 3.8053 3.8053 9.3648 Å, 90.00 90.00 90.00°
Space group P-4m2 (No. 115)
Inequivalent atoms, fractional coordinates:
1 Cu 0.0000 0.5000 0.1230
2 Sn 0.5000 0.5000 0.5000
3 Te 0.0000 0.5000 0.7302
4 F 0.0000 0.0000 0.0000
5 F 0.5000 0.5000 0.0000